For RbIn4, a structure optimized by DFT (PBE) gives the calculated X-ray diffraction stick pattern in this record (CuKα).
Kinematic intensities with the Lorentz-polarization factor, no thermal factor.

Lattice parameters (Å, degrees): 5.0810 5.0810 12.8029 90.00 90.00 90.00
Space group I4/mmm (No. 139)
Symmetry-distinct sites (fractional):
Rb: 0.0000 0.0000 0.0000
In: 0.0000 0.0000 0.3850
In: 0.0000 0.5000 0.2500

Main lines, low angle first (10° ≤ 2θ ≤ 90°):
2θ (°), intensity
27.3, 44
28.5, 100
35.3, 71
37.6, 54
39.4, 29
45.2, 22
50.8, 24
53.9, 23
59.3, 24
64.9, 21